# 1
For ScSiPd, a structure optimized by DFT (GGA-PBE) gives the simulated powder diffractogram in this record (Cu Kα X-rays).
Lines closer than 0.1° are merged.

Structure:
Cell: 6.593 4.098 7.481 Å, 90.00 90.00 90.00°
Space group Pnma (No. 62)
Inequivalent atoms, fractional coordinates:
Sc1 0.009 0.250 0.193 x4
Si1 0.218 0.750 0.392 x4
Pd1 0.172 0.250 0.572 x4

The 6 most intense peaks (2θ from 5° to 70°), sorted by position:
2θ/deg, d (Å), I/Imax
28.28, 3.156, 1000
35.22, 2.548, 794
37.00, 2.429, 875
42.43, 2.130, 970
42.89, 2.109, 626
44.20, 2.049, 601


# 2
For SnPO4, a structure optimized by DFT (GGA-PBE) gives the simulated powder diffractogram in this record (Cu Kα X-rays).
Lines closer than 0.1° are merged.

Structure:
Cell: 5.727 10.399 8.710 Å, 90.00 127.79 90.00°
Space group P2_1/c (No. 14)
Inequivalent atoms, fractional coordinates:
Sn1 0.212 0.161 0.004 x4
P1 0.088 0.082 0.255 x4
O1 0.033 0.563 0.765 x4
O2 0.039 0.157 0.388 x4
O3 0.130 0.623 0.466 x4
O4 0.399 0.114 0.311 x4

The 6 most intense peaks (2θ from 5° to 70°), sorted by position:
2θ/deg, d (Å), I/Imax
15.44, 5.740, 559
19.62, 4.526, 362
21.41, 4.150, 1000
22.46, 3.959, 420
23.12, 3.847, 316
28.84, 3.096, 456


# 3
For EuNi2P2, a structure optimized by DFT (GGA-PBE) gives the simulated powder diffractogram in this record (Cu Kα X-rays).
Lines closer than 0.1° are merged.

Structure:
Cell: 3.941 3.941 9.533 Å, 90.00 90.00 90.00°
Space group I4/mmm (No. 139)
Inequivalent atoms, fractional coordinates:
Eu1 0.000 0.000 0.000 x2
Ni1 0.000 0.500 0.250 x4
P1 0.000 0.000 0.374 x4

The 6 most intense peaks (2θ from 5° to 70°), sorted by position:
2θ/deg, d (Å), I/Imax
24.44, 3.642, 429
36.32, 2.474, 527
37.38, 2.406, 1000
46.07, 1.970, 401
60.03, 1.541, 238
67.91, 1.380, 169


# 4
For HoAlFe, a structure optimized by DFT (GGA-PBE) gives the simulated powder diffractogram in this record (Cu Kα X-rays).
Lines closer than 0.1° are merged.

Structure:
Cell: 8.687 5.375 9.144 Å, 90.00 90.00 90.00°
Space group Amm2 (No. 38)
Inequivalent atoms, fractional coordinates:
Ho1 0.176 0.000 0.000 x4
Ho2 0.304 0.000 0.666 x4
Al1 0.235 0.000 0.327 x4
Al2 0.500 0.247 0.919 x4
Fe1 0.000 0.000 0.505 x2
Fe2 0.000 0.231 0.744 x4
Fe3 0.500 0.000 0.164 x2

The 6 most intense peaks (2θ from 5° to 70°), sorted by position:
2θ/deg, d (Å), I/Imax
33.81, 2.651, 535
36.59, 2.456, 1000
36.74, 2.446, 403
39.43, 2.286, 399
39.83, 2.263, 750
40.29, 2.239, 424


# 5
For KRbS, a structure optimized by DFT (GGA-PBE) gives the simulated powder diffractogram in this record (Cu Kα X-rays).
Lines closer than 0.1° are merged.

Structure:
Cell: 8.355 5.051 9.557 Å, 90.00 90.00 90.00°
Space group Pnma (No. 62)
Inequivalent atoms, fractional coordinates:
K1 0.147 0.250 0.075 x4
Rb1 0.022 0.250 0.676 x4
S1 0.237 0.750 0.892 x4

The 6 most intense peaks (2θ from 5° to 70°), sorted by position:
2θ/deg, d (Å), I/Imax
27.83, 3.206, 946
29.27, 3.051, 1000
30.02, 2.977, 347
33.25, 2.695, 255
35.54, 2.526, 372
53.71, 1.707, 220


# 6
For LaPO4, a structure optimized by DFT (GGA-PBE) gives the simulated powder diffractogram in this record (Cu Kα X-rays).
Lines closer than 0.1° are merged.

Structure:
Cell: 7.290 7.290 6.344 Å, 90.00 90.00 90.00°
Space group I4_1/amd (No. 141, origin choice 2)
Inequivalent atoms, fractional coordinates:
La1 0.000 0.250 0.375 x4
P1 0.000 0.250 0.875 x4
O1 0.000 0.081 0.724 x16

The 6 most intense peaks (2θ from 5° to 70°), sorted by position:
2θ/deg, d (Å), I/Imax
18.54, 4.786, 414
24.42, 3.645, 1000
33.16, 2.702, 645
34.81, 2.578, 201
47.18, 1.926, 206
48.83, 1.865, 513